# LaEr2C
Computed powder diffraction line list, Cu Kα (λ = 1.5418 Å). Input: the PBE geometry in Alexandria.

Largest 12 diffraction maxima, low angle first, 2θ from 10° to 80°:
hkl 0 0 3, 2θ 28.83, rel. 34
hkl 1 0 1, 2θ 30.43, rel. 100
hkl 0 1 2, 2θ 34.82, rel. 77
hkl 0 1 3, 2θ 41.23, rel. 6
hkl 1 0 4, 2θ 49.03, rel. 28
hkl 1 1 0, 2θ 51.09, rel. 26
hkl 0 1 5, 2θ 57.88, rel. 14
hkl 1 1 3, 2θ 59.73, rel. 30
hkl 0 2 1, 2θ 60.64, rel. 14
hkl 2 0 2, 2θ 63.32, rel. 13
hkl 1 0 6, 2θ 67.65, rel. 6
hkl 0 2 4, 2θ 73.52, rel. 11

Crystal structure
```
LaEr2C
1.0
3.575 0.000 0.000
-1.788 3.096 0.000
0.000 0.000 9.290
La Er C
1 2 1
Cartesian
0.000 0.000 0.000
0.000 2.064 5.980
1.788 1.032 3.311
0.000 0.000 4.645
```